(1)
Diffraction record for Ho2Er2TlNi2Ge4. The PXRD pattern is theoretical, not measured: it uses a crystal structure in OQMD, relaxed with GGA-PBE and Cu Kα X-rays.

Peak list (10 most intense, 10 to 90 degrees two-theta, by intensity)
(3 1 -2), 2θ 34.6, I = 100.0; (3 1 1), 2θ 33.5, I = 77.2; (0 2 0), 2θ 43.0, I = 51.4; (5 1 0), 2θ 37.3, I = 37.1; (3 1 0), 2θ 27.9, I = 34.2; (1 1 2), 2θ 36.3, I = 33.7; (6 0 -1), 2θ 34.7, I = 32.0; (2 0 2), 2θ 32.7, I = 24.3; (6 0 -2), 2θ 38.0, I = 23.0; (0 0 3), 2θ 40.4, I = 22.7

Atomic structure:
```
data_Ho2Er2TlNi2Ge4
_space_group_name_H-M_alt 'C 1 2/m 1'
_space_group_IT_number 12
_space_group_name_Hall '-C 2y'
_cell_length_a 15.513
_cell_length_b 4.206
_cell_length_c 7.062
_cell_angle_alpha 90.00
_cell_angle_beta 108.56
_cell_angle_gamma 90.00
loop_
_atom_site_label
_atom_site_fract_x
_atom_site_fract_y
_atom_site_fract_z
Ho1 0.155 0.000 0.438
Er1 0.092 0.000 0.892
Tl1 0.000 0.500 0.500
Ni1 0.217 0.500 0.140
Ge1 0.067 0.500 0.159
Ge2 0.205 0.500 0.773
```



(2)
Diffraction record for Rb2Cu3As4. The PXRD pattern is theoretical, not measured: it uses a crystal structure in OQMD, relaxed with GGA-PBE and Cu Kα X-rays.

Peak list (10 most intense, 10 to 90 degrees two-theta, by intensity)
(2 1 0), 2θ 32.1, I = 100.0; (1 0 0), 2θ 12.0, I = 90.6; (1 1 0), 2θ 20.9, I = 87.7; (1 2 1), 2θ 38.5, I = 44.3; (1 3 1), 2θ 49.4, I = 44.1; (0 0 2), 2θ 42.2, I = 27.1; (3 0 1), 2θ 42.4, I = 25.6; (2 2 1), 2θ 47.7, I = 22.7; (3 0 0), 2θ 36.6, I = 22.4; (3 2 1), 2θ 58.7, I = 19.6

Atomic structure:
```
data_Rb2Cu3As4
_space_group_name_H-M_alt 'P -6'
_space_group_IT_number 174
_space_group_name_Hall 'P -6'
_cell_length_a 8.5121
_cell_length_b 8.5121
_cell_length_c 4.2831
_cell_angle_alpha 90.00
_cell_angle_beta 90.00
_cell_angle_gamma 120.00
loop_
_atom_site_label
_atom_site_fract_x
_atom_site_fract_y
_atom_site_fract_z
Rb1 0.0000 0.0000 0.0000
Rb2 0.3333 0.6667 0.5000
Cu1 0.4776 0.3264 0.5000
As1 0.4119 0.4005 0.0000
As2 0.6667 0.3333 0.0000
```



(3)
Diffraction record for Co4Ni9. The PXRD pattern is theoretical, not measured: it uses a crystal structure in OQMD, relaxed with GGA-PBE and Cu Kα X-rays.

Peak list (10 most intense, 10 to 90 degrees two-theta, by intensity)
(1 1 6), 2θ 45.7, I = 100.0; (0 1 11), 2θ 47.1, I = 48.9; (2 0 5), 2θ 49.9, I = 47.0; (1 1 0), 2θ 39.6, I = 44.0; (0 2 1), 2θ 46.2, I = 43.5; (1 0 10), 2θ 43.7, I = 37.3; (2 2 0), 2θ 85.2, I = 28.9; (0 0 12), 2θ 44.7, I = 27.4; (0 2 7), 2θ 53.4, I = 24.4; (1 2 11), 2θ 77.2, I = 20.4

Atomic structure:
```
data_Co4Ni9
_space_group_name_H-M_alt 'R -3 m'
_space_group_IT_number 166
_space_group_name_Hall '-R 3 2"'
_cell_length_a 4.5538
_cell_length_b 4.5538
_cell_length_c 24.3203
_cell_angle_alpha 90.00
_cell_angle_beta 90.00
_cell_angle_gamma 120.00
loop_
_atom_site_label
_atom_site_fract_x
_atom_site_fract_y
_atom_site_fract_z
Co1 0.0000 0.0000 0.0455
Co2 0.0000 0.0000 0.1529
Ni1 0.0000 0.0000 0.3334
Ni2 0.0000 0.0000 0.5000
Ni3 0.0023 0.5012 0.9128
```